Entry 1:
Structure and calculated powder diffraction line list of RbS (a crystal structure in the Materials Project, relaxed with PBE; Cu Ka).

Largest 6 diffraction maxima, low angle first, 10 to 90 degrees two-theta:
hkl 1 1 1, d = 3.929 Å, 2θ 22.63, I = 35
hkl 2 0 0, d = 3.403 Å, 2θ 26.19, I = 100
hkl 2 2 0, d = 2.406 Å, 2θ 37.37, I = 74
hkl 2 2 2, d = 1.965 Å, 2θ 46.21, I = 26
hkl 4 2 0, d = 1.522 Å, 2θ 60.87, I = 34
hkl 4 2 2, d = 1.389 Å, 2θ 67.41, I = 25

Structural model:
```
data_RbS
_chemical_formula_sum 'Rb4 S4'
_space_group_name_H-M_alt 'F m -3 m'
_space_group_IT_number 225
_space_group_name_Hall '-F 4 2 3'
_cell_length_a 6.806
_cell_length_b 6.806
_cell_length_c 6.806
_cell_angle_alpha 90.00
_cell_angle_beta 90.00
_cell_angle_gamma 90.00
loop_
_atom_site_label
_atom_site_type_symbol
_atom_site_fract_x
_atom_site_fract_y
_atom_site_fract_z
Rb1 Rb 0.000 0.000 0.000
S1 S 0.000 0.000 0.500
```



Entry 2:
Structure and calculated powder diffraction line list of Rb2S (a crystal structure in the Materials Project, relaxed with PBE; Cu Ka).

Largest 6 diffraction maxima, low angle first, 10 to 90 degrees two-theta:
hkl 1 0 1, d = 4.091 Å, 2θ 21.72, I = 20
hkl 1 0 2, d = 3.021 Å, 2θ 29.57, I = 100
hkl 1 1 0, d = 2.780 Å, 2θ 32.20, I = 79
hkl 2 0 2, d = 2.046 Å, 2θ 44.28, I = 32
hkl 2 1 2, d = 1.648 Å, 2θ 55.79, I = 31
hkl 1 1 4, d = 1.591 Å, 2θ 57.99, I = 28

Structural model:
```
data_Rb2S
_chemical_formula_sum 'Rb4 S2'
_space_group_name_H-M_alt 'P 63/m m c'
_space_group_IT_number 194
_space_group_name_Hall '-P 6c 2c'
_cell_length_a 5.5604
_cell_length_b 5.5604
_cell_length_c 7.7567
_cell_angle_alpha 90.00
_cell_angle_beta 90.00
_cell_angle_gamma 120.00
loop_
_atom_site_label
_atom_site_type_symbol
_atom_site_fract_x
_atom_site_fract_y
_atom_site_fract_z
Rb1 Rb 0.0000 0.0000 0.0000
Rb2 Rb 0.3333 0.6667 0.2500
S1 S 0.3333 0.6667 0.7500
```



Entry 3:
Structure and calculated powder diffraction line list of RbS (a crystal structure in the Materials Project, relaxed with PBE; Cu Ka).

Largest 6 diffraction maxima, low angle first, 10 to 90 degrees two-theta:
hkl 0 1 1, d = 5.423 Å, 2θ 16.35, I = 27
hkl 1 1 0, d = 4.087 Å, 2θ 21.74, I = 49
hkl 1 1 2, d = 2.993 Å, 2θ 29.85, I = 100
hkl 0 2 2, d = 2.712 Å, 2θ 33.04, I = 38
hkl 2 0 0, d = 2.538 Å, 2θ 35.36, I = 40
hkl 2 2 2, d = 1.853 Å, 2θ 49.17, I = 24

Structural model:
```
data_RbS
_chemical_formula_sum 'Rb4 S4'
_space_group_name_H-M_alt 'I m m m'
_space_group_IT_number 71
_space_group_name_Hall '-I 2 2'
_cell_length_a 5.077
_cell_length_b 6.890
_cell_length_c 8.790
_cell_angle_alpha 90.00
_cell_angle_beta 90.00
_cell_angle_gamma 90.00
loop_
_atom_site_label
_atom_site_type_symbol
_atom_site_fract_x
_atom_site_fract_y
_atom_site_fract_z
Rb1 Rb 0.000 0.000 0.223
S1 S 0.000 0.345 0.500
```



Entry 4:
Structure and calculated powder diffraction line list of RbS (a crystal structure in the Materials Project, relaxed with PBE; Cu Ka).

Largest 6 diffraction maxima, low angle first, 10 to 90 degrees two-theta:
hkl 0 1 1, d = 3.702 Å, 2θ 24.04, I = 62
hkl 1 1 0, d = 3.260 Å, 2θ 27.36, I = 69
hkl 1 1 -1, d = 3.226 Å, 2θ 27.65, I = 100
hkl 0 0 2, d = 3.001 Å, 2θ 29.78, I = 55
hkl 1 1 1, d = 2.603 Å, 2θ 34.46, I = 67
hkl 1 1 -2, d = 2.551 Å, 2θ 35.18, I = 49

Structural model:
```
data_RbS
_chemical_formula_sum 'Rb2 S2'
_space_group_name_H-M_alt 'P 1 21/m 1'
_space_group_IT_number 11
_space_group_name_Hall '-P 2yb'
_cell_length_a 4.827
_cell_length_b 4.704
_cell_length_c 6.405
_cell_angle_alpha 90.00
_cell_angle_beta 110.46
_cell_angle_gamma 90.00
loop_
_atom_site_label
_atom_site_type_symbol
_atom_site_fract_x
_atom_site_fract_y
_atom_site_fract_z
Rb1 Rb 0.114 0.250 0.257
S1 S 0.434 0.250 0.841
```



Entry 5:
Structure and calculated powder diffraction line list of Rb2S (a crystal structure in the Materials Project, relaxed with PBE; Cu Ka).

Largest 6 diffraction maxima, low angle first, 10 to 90 degrees two-theta:
hkl 2 0 0, d = 3.919 Å, 2θ 22.69, I = 55
hkl 2 2 0, d = 2.771 Å, 2θ 32.30, I = 100
hkl 2 2 2, d = 2.263 Å, 2θ 39.84, I = 17
hkl 4 0 0, d = 1.960 Å, 2θ 46.33, I = 17
hkl 4 2 0, d = 1.753 Å, 2θ 52.19, I = 23
hkl 4 2 2, d = 1.600 Å, 2θ 57.61, I = 36

Structural model:
```
data_Rb2S
_chemical_formula_sum 'Rb8 S4'
_space_group_name_H-M_alt 'F m -3 m'
_space_group_IT_number 225
_space_group_name_Hall '-F 4 2 3'
_cell_length_a 7.838
_cell_length_b 7.838
_cell_length_c 7.838
_cell_angle_alpha 90.00
_cell_angle_beta 90.00
_cell_angle_gamma 90.00
loop_
_atom_site_label
_atom_site_type_symbol
_atom_site_fract_x
_atom_site_fract_y
_atom_site_fract_z
Rb1 Rb 0.250 0.250 0.250
S1 S 0.000 0.000 0.000
```



Entry 6:
Structure and calculated powder diffraction line list of Rb2S (a crystal structure in the Materials Project, relaxed with PBE; Cu Ka).

Largest 6 diffraction maxima, low angle first, 10 to 90 degrees two-theta:
hkl 1 1 2, d = 3.306 Å, 2θ 26.97, I = 100
hkl 2 1 0, d = 3.270 Å, 2θ 27.27, I = 39
hkl 2 1 1, d = 3.108 Å, 2θ 28.72, I = 99
hkl 0 1 3, d = 2.802 Å, 2θ 31.94, I = 33
hkl 0 2 0, d = 2.573 Å, 2θ 34.86, I = 40
hkl 0 1 5, d = 1.868 Å, 2θ 48.74, I = 29

Structural model:
```
data_Rb2S
_chemical_formula_sum 'Rb8 S4'
_space_group_name_H-M_alt 'P n m a'
_space_group_IT_number 62
_space_group_name_Hall '-P 2ac 2n'
_cell_length_a 8.469
_cell_length_b 5.147
_cell_length_c 10.022
_cell_angle_alpha 90.00
_cell_angle_beta 90.00
_cell_angle_gamma 90.00
loop_
_atom_site_label
_atom_site_type_symbol
_atom_site_fract_x
_atom_site_fract_y
_atom_site_fract_z
Rb1 Rb 0.020 0.250 0.169
Rb2 Rb 0.146 0.250 0.574
S1 S 0.248 0.750 0.389
```



Entry 7:
Structure and calculated powder diffraction line list of RbS (a crystal structure in the Materials Project, relaxed with PBE; Cu Ka).

Largest 6 diffraction maxima, low angle first, 10 to 90 degrees two-theta:
hkl 0 2 1, d = 3.593 Å, 2θ 24.78, I = 50
hkl 1 1 1, d = 3.335 Å, 2θ 26.73, I = 100
hkl 1 3 0, d = 2.912 Å, 2θ 30.71, I = 71
hkl 2 0 0, d = 2.538 Å, 2θ 35.37, I = 29
hkl 0 0 2, d = 2.431 Å, 2θ 36.97, I = 25
hkl 1 3 2, d = 1.866 Å, 2θ 48.80, I = 37

Structural model:
```
data_RbS
_chemical_formula_sum 'Rb4 S4'
_space_group_name_H-M_alt 'C m c m'
_space_group_IT_number 63
_space_group_name_Hall '-C 2c 2'
_cell_length_a 5.076
_cell_length_b 10.665
_cell_length_c 4.863
_cell_angle_alpha 90.00
_cell_angle_beta 90.00
_cell_angle_gamma 90.00
loop_
_atom_site_label
_atom_site_type_symbol
_atom_site_fract_x
_atom_site_fract_y
_atom_site_fract_z
Rb1 Rb 0.000 0.149 0.250
S1 S 0.000 0.468 0.250
```



Entry 8:
Structure and calculated powder diffraction line list of RbS (a crystal structure in the Materials Project, relaxed with PBE; Cu Ka).

Largest 6 diffraction maxima, low angle first, 10 to 90 degrees two-theta:
hkl 1 0 0, d = 4.013 Å, 2θ 22.15, I = 22
hkl 1 1 0, d = 2.837 Å, 2θ 31.53, I = 100
hkl 2 0 0, d = 2.006 Å, 2θ 45.19, I = 17
hkl 2 1 1, d = 1.638 Å, 2θ 56.15, I = 36
hkl 2 2 0, d = 1.419 Å, 2θ 65.83, I = 11
hkl 3 1 0, d = 1.269 Å, 2θ 74.83, I = 15

Structural model:
```
data_RbS
_chemical_formula_sum 'Rb1 S1'
_space_group_name_H-M_alt 'P m -3 m'
_space_group_IT_number 221
_space_group_name_Hall '-P 4 2 3'
_cell_length_a 4.013
_cell_length_b 4.013
_cell_length_c 4.013
_cell_angle_alpha 90.00
_cell_angle_beta 90.00
_cell_angle_gamma 90.00
loop_
_atom_site_label
_atom_site_type_symbol
_atom_site_fract_x
_atom_site_fract_y
_atom_site_fract_z
Rb1 Rb 0.000 0.000 0.000
S1 S 0.500 0.500 0.500
```



Entry 9:
Structure and calculated powder diffraction line list of Rb3SbS4 (a crystal structure in the Materials Project, relaxed with PBE; Cu Ka).

Largest 6 diffraction maxima, low angle first, 10 to 90 degrees two-theta:
hkl 1 1 1, d = 5.967 Å, 2θ 14.85, I = 53
hkl 0 2 2, d = 3.776 Å, 2θ 23.56, I = 75
hkl 2 2 0, d = 3.691 Å, 2θ 24.11, I = 49
hkl 2 0 2, d = 3.515 Å, 2θ 25.34, I = 78
hkl 2 3 0, d = 2.982 Å, 2θ 29.96, I = 100
hkl 0 4 0, d = 2.830 Å, 2θ 31.61, I = 33

Structural model:
```
data_Rb3SbS4
_chemical_formula_sum 'Rb12 Sb4 S16'
_space_group_name_H-M_alt 'P n m a'
_space_group_IT_number 62
_space_group_name_Hall '-P 2ac 2n'
_cell_length_a 9.737
_cell_length_b 11.321
_cell_length_c 10.137
_cell_angle_alpha 90.00
_cell_angle_beta 90.00
_cell_angle_gamma 90.00
loop_
_atom_site_label
_atom_site_type_symbol
_atom_site_fract_x
_atom_site_fract_y
_atom_site_fract_z
Rb1 Rb 0.065 0.044 0.205
Rb2 Rb 0.136 0.750 0.429
Sb1 Sb 0.221 0.750 0.984
S1 S 0.006 0.750 0.096
S2 S 0.156 0.077 0.537
S3 S 0.182 0.750 0.754
```



Entry 10:
Structure and calculated powder diffraction line list of RbU2SbS8 (a crystal structure in the Materials Project, relaxed with PBE; Cu Ka).

Largest 6 diffraction maxima, low angle first, 10 to 90 degrees two-theta:
hkl 0 0 1, d = 7.563 Å, 2θ 11.70, I = 100
hkl 0 2 1, d = 4.495 Å, 2θ 19.75, I = 85
hkl 2 2 -1, d = 3.169 Å, 2θ 28.16, I = 44
hkl 2 0 -2, d = 3.130 Å, 2θ 28.52, I = 50
hkl 2 0 1, d = 3.117 Å, 2θ 28.64, I = 36
hkl 2 4 -2, d = 2.083 Å, 2θ 43.45, I = 33

Structural model:
```
data_RbU2SbS8
_chemical_formula_sum 'Rb2 U4 Sb2 S16'
_space_group_name_H-M_alt 'C 1 m 1'
_space_group_IT_number 8
_space_group_name_Hall 'C -2y'
_cell_length_a 7.957
_cell_length_b 11.180
_cell_length_c 7.828
_cell_angle_alpha 90.00
_cell_angle_beta 104.96
_cell_angle_gamma 90.00
loop_
_atom_site_label
_atom_site_type_symbol
_atom_site_fract_x
_atom_site_fract_y
_atom_site_fract_z
Rb1 Rb 0.000 0.000 0.000
U1 U 0.132 0.250 0.533
Sb1 Sb 0.450 0.000 0.807
S1 S 0.148 0.500 0.611
S2 S 0.155 0.000 0.608
S3 S 0.325 0.350 0.315
S4 S 0.326 0.165 0.307
S5 S 0.444 0.241 0.778
```



Entry 11:
Structure and calculated powder diffraction line list of RbSmS2 (a crystal structure in the Materials Project, relaxed with PBE; Cu Ka).

Largest 6 diffraction maxima, low angle first, 10 to 90 degrees two-theta:
hkl 0 0 3, d = 7.704 Å, 2θ 11.49, I = 25
hkl 0 0 6, d = 3.852 Å, 2θ 23.09, I = 22
hkl 0 1 2, d = 3.450 Å, 2θ 25.83, I = 44
hkl 1 0 4, d = 3.064 Å, 2θ 29.14, I = 100
hkl 0 1 8, d = 2.257 Å, 2θ 39.95, I = 36
hkl 1 1 0, d = 2.087 Å, 2θ 43.36, I = 34

Structural model:
```
data_RbSmS2
_chemical_formula_sum 'Rb3 Sm3 S6'
_space_group_name_H-M_alt 'R -3 m'
_space_group_IT_number 166
_space_group_name_Hall '-R 3 2"'
_cell_length_a 4.1736
_cell_length_b 4.1736
_cell_length_c 23.1122
_cell_angle_alpha 90.00
_cell_angle_beta 90.00
_cell_angle_gamma 120.00
loop_
_atom_site_label
_atom_site_type_symbol
_atom_site_fract_x
_atom_site_fract_y
_atom_site_fract_z
Rb1 Rb 0.0000 0.0000 0.0000
Sm1 Sm 0.0000 0.0000 0.5000
S1 S 0.0000 0.0000 0.2318
```



Entry 12:
Structure and calculated powder diffraction line list of Rb6Sn2S7 (a crystal structure in the Materials Project, relaxed with PBE; Cu Ka).

Largest 6 diffraction maxima, low angle first, 10 to 90 degrees two-theta:
hkl 2 2 1, d = 3.936 Å, 2θ 22.59, I = 35
hkl 0 0 4, d = 3.785 Å, 2θ 23.50, I = 47
hkl 1 3 2, d = 3.651 Å, 2θ 24.38, I = 53
hkl 2 2 2, d = 3.589 Å, 2θ 24.80, I = 100
hkl 0 4 0, d = 3.429 Å, 2θ 25.98, I = 52
hkl 1 3 3, d = 3.211 Å, 2θ 27.78, I = 64

Structural model:
```
data_Rb6Sn2S7
_chemical_formula_sum 'Rb24 Sn8 S28'
_space_group_name_H-M_alt 'P 21 21 21'
_space_group_IT_number 19
_space_group_name_Hall 'P 2ac 2ab'
_cell_length_a 10.137
_cell_length_b 13.714
_cell_length_c 15.153
_cell_angle_alpha 90.00
_cell_angle_beta 90.00
_cell_angle_gamma 90.00
loop_
_atom_site_label
_atom_site_type_symbol
_atom_site_fract_x
_atom_site_fract_y
_atom_site_fract_z
Rb1 Rb 0.029 0.161 0.190
Rb2 Rb 0.063 0.820 0.881
Rb3 Rb 0.142 0.570 0.085
Rb4 Rb 0.145 0.652 0.644
Rb5 Rb 0.220 0.861 0.439
Rb6 Rb 0.250 0.116 0.628
Sn1 Sn 0.078 0.393 0.862
Sn2 Sn 0.124 0.395 0.381
S1 S 0.024 0.503 0.487
S2 S 0.029 0.411 0.238
S3 S 0.097 0.328 0.008
S4 S 0.119 0.230 0.437
S5 S 0.131 0.573 0.863
S6 S 0.152 0.896 0.677
S7 S 0.207 0.304 0.757
```